The following is a computed powder X-ray diffraction pattern of Ca3Co2. It was derived from a crystal structure in Alexandria, relaxed with PBE, using a wavelength of 1.5418 Å.

abc: 3.6755 3.6755 33.4577
angles: 90.00 90.00 120.00
Space group R-3m (No. 166, hexagonal axes)
Inequivalent atoms, fractional coordinates:
Ca: 0.0000 0.0000 0.0000 [3 per cell]
Ca: 0.0000 0.0000 0.2187 [6 per cell]
Co: 0.0000 0.0000 0.3928 [6 per cell]

Main lines, in order of rising 2θ (10° ≤ 2θ ≤ 90°):
- 2θ = 15.9°, 5.576 Å, I 14, (0 0 6)
- 2θ = 31.1°, 2.874 Å, I 100, (0 1 5)
- 2θ = 35.4°, 2.533 Å, I 18, (0 1 8)
- 2θ = 39.1°, 2.306 Å, I 33, (1 0 10)
- 2θ = 45.3°, 2.001 Å, I 21, (1 0 13)
- 2θ = 49.0°, 1.859 Å, I 8, (0 0 18)
- 2θ = 49.6°, 1.838 Å, I 28, (1 1 0)
- 2θ = 59.7°, 1.548 Å, I 13, (2 0 5)
- 2θ = 72.3°, 1.307 Å, I 14, (1 1 18)
- 2θ = 81.2°, 1.184 Å, I 10, (1 2 5)